# 1
The following is a simulated powder XRD pattern of KLaYSbO6. It was derived from a GGA-PBE-relaxed structure, using Cu Ka.

a = 5.917 Å, b = 5.917 Å, c = 5.917 Å
α = 60.00°, β = 60.00°, γ = 60.00°
Element x y z (fractional)
K 0.000 0.000 0.000
La 0.500 0.500 0.500
Y 0.750 0.750 0.750
Sb 0.250 0.250 0.250
O 0.013 0.013 0.487
O 0.013 0.487 0.013
O 0.013 0.487 0.487
O 0.487 0.013 0.013
O 0.487 0.013 0.487
O 0.487 0.487 0.013

Top 10 peaks for 2θ from 5° to 70°, sorted by position:
- 18.36 deg, 4.831 Å, intensity 18
- 21.23 deg, 4.184 Å, intensity 5
- 30.21 deg, 2.959 Å, intensity 100
- 35.58 deg, 2.523 Å, intensity 10
- 43.25 deg, 2.092 Å, intensity 34
- 47.35 deg, 1.920 Å, intensity 5
- 53.66 deg, 1.708 Å, intensity 39
- 57.20 deg, 1.610 Å, intensity 4
- 62.82 deg, 1.479 Å, intensity 20
- 66.05 deg, 1.414 Å, intensity 4

=====

# 2
The following is a simulated powder XRD pattern of KAlSi3O8. It was derived from a GGA-PBE-relaxed structure, using Cu Ka.

a = 7.963 Å, b = 7.963 Å, c = 7.230 Å
α = 103.86°, β = 103.86°, γ = 113.54°
Element x y z (fractional)
K 0.211 0.211 0.361
K 0.789 0.789 0.639
Al 0.322 0.099 0.843
Al 0.901 0.678 0.157
Si 0.090 0.340 0.845
Si 0.297 0.686 0.278
Si 0.314 0.703 0.722
Si 0.660 0.910 0.155
Si 0.664 0.307 0.274
Si 0.693 0.336 0.726
O 0.126 0.153 0.784
O 0.161 0.789 0.251
O 0.183 0.486 0.728
O 0.190 0.462 0.097
O 0.211 0.839 0.749
O 0.347 0.653 0.500
O 0.440 0.203 0.111
O 0.483 0.187 0.721
O 0.514 0.817 0.272
O 0.538 0.810 0.903
O 0.647 0.353 0.500
O 0.753 0.151 0.237
O 0.797 0.560 0.889
O 0.813 0.517 0.279
O 0.847 0.874 0.216
O 0.849 0.247 0.763

Top 10 peaks for 2θ from 5° to 70°, sorted by position:
- 20.70 deg, 4.291 Å, intensity 53
- 23.01 deg, 3.865 Å, intensity 85
- 25.54 deg, 3.488 Å, intensity 41
- 26.36 deg, 3.381 Å, intensity 100
- 26.90 deg, 3.315 Å, intensity 54
- 27.43 deg, 3.251 Å, intensity 77
- 29.31 deg, 3.047 Å, intensity 54
- 30.14 deg, 2.965 Å, intensity 31
- 34.08 deg, 2.631 Å, intensity 33
- 50.52 deg, 1.807 Å, intensity 27

=====

# 3
The following is a simulated powder XRD pattern of PrW3. It was derived from a GGA-PBE-relaxed structure, using Cu Ka.

a = 4.740 Å, b = 4.740 Å, c = 4.740 Å
α = 60.00°, β = 60.00°, γ = 60.00°
Element x y z (fractional)
Pr 0.000 0.000 0.000
W 0.250 0.250 0.250
W 0.500 0.500 0.500
W 0.750 0.750 0.750

Top 4 peaks for 2θ from 5° to 70°, sorted by position:
- 22.98 deg, 3.870 Å, intensity 1
- 37.97 deg, 2.370 Å, intensity 100
- 54.78 deg, 1.676 Å, intensity 18
- 68.58 deg, 1.368 Å, intensity 36

=====

# 4
The following is a simulated powder XRD pattern of K3Cd. It was derived from a GGA-PBE-relaxed structure, using Cu Ka.

a = 6.626 Å, b = 6.626 Å, c = 6.626 Å
α = 60.00°, β = 60.00°, γ = 60.00°
Element x y z (fractional)
K 0.000 0.000 0.000
K 0.250 0.250 0.250
K 0.750 0.750 0.750
Cd 0.500 0.500 0.500

Top 10 peaks for 2θ from 5° to 70°, sorted by position:
- 16.39 deg, 5.410 Å, intensity 19
- 18.94 deg, 4.685 Å, intensity 11
- 26.91 deg, 3.313 Å, intensity 100
- 31.67 deg, 2.825 Å, intensity 12
- 38.43 deg, 2.343 Å, intensity 18
- 42.03 deg, 2.150 Å, intensity 6
- 43.18 deg, 2.095 Å, intensity 5
- 47.54 deg, 1.913 Å, intensity 38
- 55.47 deg, 1.656 Å, intensity 12
- 62.71 deg, 1.482 Å, intensity 15

=====

# 5
The following is a simulated powder XRD pattern of Dy2Ga9Rh3. It was derived from a GGA-PBE-relaxed structure, using Cu Ka.

a = 7.564 Å, b = 7.564 Å, c = 9.536 Å
α = 90.00°, β = 90.00°, γ = 60.12°
Element x y z (fractional)
Dy 0.003 0.668 0.750
Dy 0.332 0.997 0.750
Dy 0.668 0.003 0.250
Dy 0.997 0.332 0.250
Ga 0.000 0.334 0.577
Ga 0.000 0.334 0.923
Ga 0.000 0.666 0.077
Ga 0.000 0.666 0.423
Ga 0.125 0.875 0.250
Ga 0.334 0.000 0.077
Ga 0.334 0.000 0.423
Ga 0.334 0.666 0.562
Ga 0.334 0.666 0.938
Ga 0.337 0.453 0.250
Ga 0.453 0.337 0.750
Ga 0.547 0.663 0.250
Ga 0.663 0.547 0.750
Ga 0.666 0.000 0.577
Ga 0.666 0.000 0.923
Ga 0.666 0.334 0.062
Ga 0.666 0.334 0.438
Ga 0.875 0.125 0.750
Rh 0.000 0.000 0.000
Rh 0.000 0.000 0.500
Rh 0.328 0.328 0.000
Rh 0.328 0.328 0.500
Rh 0.672 0.672 0.000
Rh 0.672 0.672 0.500

Top 10 peaks for 2θ from 5° to 70°, sorted by position:
- 30.15 deg, 2.964 Å, intensity 21
- 36.93 deg, 2.434 Å, intensity 100
- 37.51 deg, 2.398 Å, intensity 18
- 37.73 deg, 2.384 Å, intensity 19
- 41.06 deg, 2.198 Å, intensity 19
- 41.33 deg, 2.185 Å, intensity 88
- 52.00 deg, 1.759 Å, intensity 14
- 56.61 deg, 1.626 Å, intensity 16
- 57.19 deg, 1.611 Å, intensity 16
- 63.49 deg, 1.465 Å, intensity 14

=====

# 6
The following is a simulated powder XRD pattern of Mg14CuW. It was derived from a GGA-PBE-relaxed structure, using Cu Ka.

a = 9.848 Å, b = 6.211 Å, c = 6.211 Å
α = 60.24°, β = 90.00°, γ = 90.00°
Element x y z (fractional)
Mg 0.000 0.000 0.000
Mg 0.000 0.002 0.502
Mg 0.000 0.500 0.500
Mg 0.000 0.502 0.002
Mg 0.256 0.162 0.162
Mg 0.259 0.664 0.664
Mg 0.266 0.170 0.675
Mg 0.266 0.675 0.170
Mg 0.500 0.005 0.497
Mg 0.500 0.497 0.005
Mg 0.734 0.170 0.675
Mg 0.734 0.675 0.170
Mg 0.741 0.664 0.664
Mg 0.744 0.162 0.162
Cu 0.500 0.502 0.502
W 0.500 0.004 0.004

Top 10 peaks for 2θ from 5° to 70°, sorted by position:
- 8.98 deg, 9.848 Å, intensity 100
- 16.48 deg, 5.379 Å, intensity 42
- 18.02 deg, 4.924 Å, intensity 20
- 18.80 deg, 4.721 Å, intensity 58
- 24.51 deg, 3.632 Å, intensity 28
- 33.24 deg, 2.696 Å, intensity 28
- 36.50 deg, 2.462 Å, intensity 31
- 38.06 deg, 2.364 Å, intensity 87
- 38.17 deg, 2.358 Å, intensity 44
- 50.21 deg, 1.817 Å, intensity 25

=====

# 7
The following is a simulated powder XRD pattern of Li2SnP5O15. It was derived from a GGA-PBE-relaxed structure, using Cu Ka.

a = 5.417 Å, b = 13.761 Å, c = 8.985 Å
α = 90.00°, β = 102.45°, γ = 90.00°
Element x y z (fractional)
Li 0.058 0.128 0.079
Li 0.058 0.372 0.079
Li 0.942 0.628 0.921
Li 0.942 0.872 0.921
Sn 0.500 0.000 0.500
Sn 0.500 0.500 0.500
P 0.007 0.144 0.516
P 0.007 0.356 0.516
P 0.334 0.079 0.821
P 0.334 0.421 0.821
P 0.459 0.750 0.986
P 0.541 0.250 0.014
P 0.666 0.579 0.179
P 0.666 0.921 0.179
P 0.993 0.644 0.484
P 0.993 0.856 0.484
O 0.075 0.250 0.463
O 0.123 0.075 0.419
O 0.123 0.425 0.419
O 0.155 0.144 0.690
O 0.155 0.356 0.690
O 0.180 0.043 0.929
O 0.180 0.457 0.929
O 0.197 0.750 0.887
O 0.272 0.638 0.490
O 0.272 0.862 0.490
O 0.303 0.250 0.075
O 0.460 0.659 0.102
O 0.460 0.841 0.102
O 0.476 0.006 0.745
O 0.476 0.494 0.745
O 0.524 0.506 0.255
O 0.524 0.994 0.255
O 0.540 0.159 0.898
O 0.540 0.341 0.898
O 0.697 0.750 0.925
O 0.728 0.138 0.510
O 0.728 0.362 0.510
O 0.803 0.250 0.113
O 0.820 0.543 0.071
O 0.820 0.957 0.071
O 0.845 0.644 0.310
O 0.845 0.856 0.310
O 0.877 0.575 0.581
O 0.877 0.925 0.581
O 0.925 0.750 0.537

Top 10 peaks for 2θ from 5° to 70°, sorted by position:
- 10.08 deg, 8.774 Å, intensity 100
- 12.87 deg, 6.880 Å, intensity 50
- 16.37 deg, 5.414 Å, intensity 79
- 20.24 deg, 4.387 Å, intensity 82
- 21.19 deg, 4.194 Å, intensity 48
- 21.87 deg, 4.064 Å, intensity 83
- 25.05 deg, 3.555 Å, intensity 82
- 30.56 deg, 2.925 Å, intensity 33
- 31.01 deg, 2.884 Å, intensity 45
- 31.49 deg, 2.841 Å, intensity 31

=====

# 8
The following is a simulated powder XRD pattern of K2Cu5TeS3O19. It was derived from a GGA-PBE-relaxed structure, using Cu Ka.

a = 7.853 Å, b = 12.020 Å, c = 9.465 Å
α = 90.00°, β = 112.85°, γ = 90.00°
Element x y z (fractional)
K 0.000 0.000 0.000
K 0.000 0.500 0.000
K 0.021 0.250 0.482
K 0.979 0.750 0.518
Cu 0.468 0.625 0.730
Cu 0.468 0.875 0.730
Cu 0.496 0.132 0.726
Cu 0.496 0.368 0.726
Cu 0.500 0.000 0.000
Cu 0.500 0.500 0.000
Cu 0.504 0.632 0.274
Cu 0.504 0.868 0.274
Cu 0.532 0.125 0.270
Cu 0.532 0.375 0.270
Te 0.229 0.250 0.923
Te 0.771 0.750 0.077
S 0.202 0.750 0.932
S 0.213 0.531 0.403
S 0.213 0.969 0.403
S 0.787 0.031 0.597
S 0.787 0.469 0.597
S 0.798 0.250 0.068
O 0.002 0.250 0.112
O 0.029 0.563 0.292
O 0.029 0.937 0.292
O 0.221 0.079 0.471
O 0.221 0.421 0.471
O 0.248 0.750 0.793
O 0.275 0.622 0.523
O 0.275 0.878 0.523
O 0.283 0.647 0.025
O 0.283 0.853 0.025
O 0.339 0.250 0.770
O 0.347 0.525 0.319
O 0.347 0.975 0.319
O 0.357 0.125 0.047
O 0.357 0.375 0.047
O 0.397 0.011 0.789
O 0.397 0.489 0.789
O 0.429 0.250 0.306
O 0.432 0.750 0.353
O 0.568 0.250 0.647
O 0.571 0.750 0.694
O 0.603 0.511 0.211
O 0.603 0.989 0.211
O 0.643 0.625 0.953
O 0.643 0.875 0.953
O 0.653 0.025 0.681
O 0.653 0.475 0.681
O 0.661 0.750 0.230
O 0.717 0.147 0.975
O 0.717 0.353 0.975
O 0.725 0.122 0.477
O 0.725 0.378 0.477
O 0.752 0.250 0.207
O 0.779 0.579 0.529
O 0.779 0.921 0.529
O 0.971 0.063 0.708
O 0.971 0.437 0.708
O 0.998 0.750 0.888

Top 10 peaks for 2θ from 5° to 70°, sorted by position:
- 12.23 deg, 7.237 Å, intensity 100
- 23.91 deg, 3.722 Å, intensity 23
- 25.15 deg, 3.541 Å, intensity 36
- 27.14 deg, 3.286 Å, intensity 71
- 27.68 deg, 3.223 Å, intensity 52
- 32.26 deg, 2.775 Å, intensity 21
- 33.75 deg, 2.655 Å, intensity 20
- 35.67 deg, 2.517 Å, intensity 31
- 36.30 deg, 2.475 Å, intensity 20
- 39.32 deg, 2.291 Å, intensity 25

=====

# 9
The following is a simulated powder XRD pattern of Y2Zn3N4. It was derived from a GGA-PBE-relaxed structure, using Cu Ka.

a = 6.823 Å, b = 6.823 Å, c = 6.346 Å
α = 91.46°, β = 91.46°, γ = 63.48°
Element x y z (fractional)
Y 0.014 0.270 0.358
Y 0.270 0.014 0.858
Y 0.730 0.986 0.142
Y 0.986 0.730 0.642
Zn 0.239 0.761 0.250
Zn 0.263 0.432 0.970
Zn 0.432 0.263 0.470
Zn 0.568 0.737 0.530
Zn 0.737 0.568 0.030
Zn 0.761 0.239 0.750
N 0.149 0.752 0.976
N 0.187 0.346 0.668
N 0.248 0.851 0.524
N 0.346 0.187 0.168
N 0.654 0.813 0.832
N 0.752 0.149 0.476
N 0.813 0.654 0.332
N 0.851 0.248 0.024

Top 10 peaks for 2θ from 5° to 70°, sorted by position:
- 29.26 deg, 3.052 Å, intensity 43
- 29.45 deg, 3.033 Å, intensity 92
- 30.12 deg, 2.967 Å, intensity 69
- 31.59 deg, 2.833 Å, intensity 78
- 31.75 deg, 2.818 Å, intensity 42
- 32.35 deg, 2.768 Å, intensity 87
- 32.76 deg, 2.734 Å, intensity 100
- 39.33 deg, 2.291 Å, intensity 55
- 42.20 deg, 2.141 Å, intensity 71
- 45.63 deg, 1.988 Å, intensity 69

=====

# 10
The following is a simulated powder XRD pattern of ErCo12B6. It was derived from a GGA-PBE-relaxed structure, using Cu Ka.

a = 5.954 Å, b = 5.954 Å, c = 5.954 Å
α = 104.00°, β = 104.00°, γ = 104.00°
Element x y z (fractional)
Er 0.000 0.000 0.000
Co 0.132 0.500 0.868
Co 0.132 0.868 0.500
Co 0.186 0.455 0.455
Co 0.455 0.186 0.455
Co 0.455 0.455 0.186
Co 0.500 0.132 0.868
Co 0.500 0.868 0.132
Co 0.545 0.545 0.814
Co 0.545 0.814 0.545
Co 0.814 0.545 0.545
Co 0.868 0.132 0.500
Co 0.868 0.500 0.132
B 0.232 0.232 0.678
B 0.232 0.678 0.232
B 0.322 0.768 0.768
B 0.678 0.232 0.232
B 0.768 0.322 0.768
B 0.768 0.768 0.322

Top 10 peaks for 2θ from 5° to 70°, sorted by position:
- 31.53 deg, 2.837 Å, intensity 16
- 32.71 deg, 2.738 Å, intensity 40
- 33.07 deg, 2.709 Å, intensity 33
- 41.31 deg, 2.185 Å, intensity 59
- 41.89 deg, 2.156 Å, intensity 100
- 47.20 deg, 1.926 Å, intensity 24
- 49.97 deg, 1.825 Å, intensity 20
- 59.06 deg, 1.564 Å, intensity 21
- 62.39 deg, 1.488 Å, intensity 18
- 64.71 deg, 1.440 Å, intensity 12